Computed XRD peak list of Zn3Ni4Au for λ = 1.5418 Å (Cu Kα), from a structure optimized by DFT (PBE).
Kinematic intensities with the Lorentz-polarization factor, no thermal factor.

Most intense lines, 5 to 70 degrees two-theta, in order of rising 2θ:
two_theta, intensity
33.62, 13
40.14, 13
41.19, 15
42.64, 47
44.37, 100
46.65, 18

Lattice parameters (Å, degrees): 8.4798 5.5001 4.3831 90.00 90.00 90.00
Space group Pmma (No. 51)
One atom of each set of equivalent atoms:
Zn 0.0000 0.0000 0.0000 (multiplicity 2)
Zn 0.2500 0.0000 0.3845 (multiplicity 2)
Zn 0.2500 0.5000 0.3947 (multiplicity 2)
Ni 0.0000 0.2362 0.5000 (multiplicity 4)
Ni 0.2500 0.2384 0.8706 (multiplicity 4)
Au 0.0000 0.5000 0.0000 (multiplicity 2)

---

Computed XRD peak list of BaPuPd10 for λ = 1.5418 Å (Cu Kα), from a structure optimized by DFT (PBE).
Kinematic intensities with the Lorentz-polarization factor, no thermal factor.

Most intense lines, 5 to 70 degrees two-theta, in order of rising 2θ:
two_theta, intensity
27.41, 51
32.91, 24
38.30, 31
38.65, 100
38.79, 52
40.03, 50

Lattice parameters (Å, degrees): 4.5043 5.4186 9.4428 90.00 90.00 90.00
Space group Pmmm (No. 47)
One atom of each set of equivalent atoms:
Ba 0.0000 0.0000 0.0000 (multiplicity 1)
Pu 0.0000 0.5000 0.5000 (multiplicity 1)
Pd 0.0000 0.0000 0.3447 (multiplicity 2)
Pd 0.0000 0.5000 0.1880 (multiplicity 2)
Pd 0.5000 0.0000 0.5000 (multiplicity 1)
Pd 0.5000 0.2528 0.2574 (multiplicity 4)
Pd 0.5000 0.5000 0.0000 (multiplicity 1)

---

Computed XRD peak list of TmBRh4 for λ = 1.5418 Å (Cu Kα), from a structure optimized by DFT (PBE).
Kinematic intensities with the Lorentz-polarization factor, no thermal factor.

Most intense lines, 5 to 70 degrees two-theta, in order of rising 2θ:
two_theta, intensity
28.48, 27
33.55, 31
36.98, 100
38.31, 66
41.13, 54
55.95, 46

Lattice parameters (Å, degrees): 5.1069 5.1069 7.9379 90.00 90.00 90.00
Space group P4_2/nmc (No. 137, origin choice 2)
One atom of each set of equivalent atoms:
Tm 0.2500 0.7500 0.2500 (multiplicity 2)
B 0.2500 0.7500 0.7500 (multiplicity 2)
Rh 0.0079 0.2500 0.0567 (multiplicity 8)

---

Computed XRD peak list of Tb3Ho3Er5 for λ = 1.5418 Å (Cu Kα), from a structure optimized by DFT (PBE).
Kinematic intensities with the Lorentz-polarization factor, no thermal factor.

Most intense lines, 5 to 70 degrees two-theta, in order of rising 2θ:
two_theta, intensity
16.08, 60
26.83, 59
32.24, 52
32.49, 49
32.76, 46
36.23, 100

Lattice parameters (Å, degrees): 9.6174 9.6174 5.5118 90.00 90.00 120.00
Space group P-62m (No. 189)
One atom of each set of equivalent atoms:
Tb 0.0000 0.4613 0.0000 (multiplicity 3)
Ho 0.0000 0.6370 0.5000 (multiplicity 3)
Er 0.0000 0.2832 0.5000 (multiplicity 3)
Er 0.3333 0.6667 0.5000 (multiplicity 2)

---

Computed XRD peak list of Sr3Cd2Pd3 for λ = 1.5418 Å (Cu Kα), from a structure optimized by DFT (PBE).
Kinematic intensities with the Lorentz-polarization factor, no thermal factor.

Most intense lines, 5 to 70 degrees two-theta, in order of rising 2θ:
two_theta, intensity
16.87, 49
29.06, 70
30.37, 90
34.17, 61
35.31, 53
36.67, 100

Lattice parameters (Å, degrees): 8.3584 15.7456 6.7588 90.00 90.00 90.00
Space group Pnma (No. 62)
One atom of each set of equivalent atoms:
Sr 0.0435 0.1073 0.1555 (multiplicity 8)
Sr 0.1001 0.7500 0.3869 (multiplicity 4)
Cd 0.1908 0.0985 0.6327 (multiplicity 8)
Pd 0.1237 0.5515 0.4378 (multiplicity 8)
Pd 0.2452 0.7500 0.9125 (multiplicity 4)

---

Computed XRD peak list of U3Ru2 for λ = 1.5418 Å (Cu Kα), from a structure optimized by DFT (PBE).
Kinematic intensities with the Lorentz-polarization factor, no thermal factor.

Most intense lines, 5 to 70 degrees two-theta, in order of rising 2θ:
two_theta, intensity
30.70, 37
34.60, 35
35.64, 86
36.11, 33
39.24, 100
39.60, 62

Lattice parameters (Å, degrees): 5.2414 7.0122 5.3313 90.00 93.50 90.00
Space group P2_1 (No. 4)
One atom of each set of equivalent atoms:
U 0.0860 0.0000 0.4116 (multiplicity 2)
U 0.2366 0.5394 0.2248 (multiplicity 2)
U 0.3511 0.8145 0.7686 (multiplicity 2)
Ru 0.2003 0.1635 0.9682 (multiplicity 2)
Ru 0.4430 0.4341 0.7144 (multiplicity 2)

---

Computed XRD peak list of KCa2HgF8 for λ = 1.5418 Å (Cu Kα), from a structure optimized by DFT (PBE).
Kinematic intensities with the Lorentz-polarization factor, no thermal factor.

Most intense lines, 5 to 70 degrees two-theta, in order of rising 2θ:
two_theta, intensity
11.43, 95
19.45, 47
26.48, 100
27.94, 86
45.25, 93
54.71, 35

Lattice parameters (Å, degrees): 4.1916 5.6476 7.7445 90.00 90.00 90.00
Space group Pmmm (No. 47)
One atom of each set of equivalent atoms:
K 0.0000 0.0000 0.0000 (multiplicity 1)
Ca 0.5000 0.5000 0.2584 (multiplicity 2)
Hg 0.0000 0.0000 0.5000 (multiplicity 1)
F 0.0000 0.2657 0.2809 (multiplicity 4)
F 0.5000 0.2512 0.5000 (multiplicity 2)
F 0.5000 0.2813 0.0000 (multiplicity 2)

---

Computed XRD peak list of Sr8Mg2Ga for λ = 1.5418 Å (Cu Kα), from a structure optimized by DFT (PBE).
Kinematic intensities with the Lorentz-polarization factor, no thermal factor.

Most intense lines, 5 to 70 degrees two-theta, in order of rising 2θ:
two_theta, intensity
25.45, 70
26.52, 68
26.70, 63
27.24, 93
29.24, 84
30.01, 100

Lattice parameters (Å, degrees): 20.7313 5.9561 8.1401 90.00 109.16 90.00
Space group C2/m (No. 12)
One atom of each set of equivalent atoms:
Sr 0.0230 0.0000 0.2924 (multiplicity 4)
Sr 0.0921 0.5000 0.9296 (multiplicity 4)
Sr 0.1564 0.5000 0.4590 (multiplicity 4)
Sr 0.2042 0.0000 0.7997 (multiplicity 4)
Mg 0.1793 0.0000 0.2070 (multiplicity 4)
Ga 0.0000 0.5000 0.5000 (multiplicity 2)

---

Computed XRD peak list of Li2BRh3 for λ = 1.5418 Å (Cu Kα), from a structure optimized by DFT (PBE).
Kinematic intensities with the Lorentz-polarization factor, no thermal factor.

Most intense lines, 5 to 70 degrees two-theta, in order of rising 2θ:
two_theta, intensity
18.69, 42
22.95, 32
29.76, 37
32.68, 21
40.31, 100
42.59, 58

Lattice parameters (Å, degrees): 6.7128 6.7128 6.7128 90.00 90.00 90.00
Space group P4_132 (No. 213)
One atom of each set of equivalent atoms:
Li 0.0671 0.0671 0.0671 (multiplicity 8)
B 0.1250 0.6250 0.8750 (multiplicity 4)
Rh 0.0432 0.8750 0.7068 (multiplicity 12)

---

Computed XRD peak list of Nd2Sm3Ag4 for λ = 1.5418 Å (Cu Kα), from a structure optimized by DFT (PBE).
Kinematic intensities with the Lorentz-polarization factor, no thermal factor.

Most intense lines, 5 to 70 degrees two-theta, in order of rising 2θ:
two_theta, intensity
29.65, 97
29.95, 28
34.41, 100
37.18, 47
39.01, 25
62.22, 31

Lattice parameters (Å, degrees): 6.9913 18.4525 7.8205 90.00 90.00 90.00
Space group Cmce (No. 64)
One atom of each set of equivalent atoms:
Nd 0.0000 0.0955 0.0792 (multiplicity 8)
Sm 0.0000 0.0000 0.5000 (multiplicity 4)
Sm 0.2500 0.2425 0.7500 (multiplicity 8)
Ag 0.0000 0.1616 0.4840 (multiplicity 8)
Ag 0.2500 0.0748 0.7500 (multiplicity 8)

---

Computed XRD peak list of BeBi for λ = 1.5418 Å (Cu Kα), from a structure optimized by DFT (PBE).
Kinematic intensities with the Lorentz-polarization factor, no thermal factor.

Most intense lines, 5 to 70 degrees two-theta, in order of rising 2θ:
two_theta, intensity
22.61, 42
27.58, 20
29.87, 100
35.95, 22
44.49, 36
54.40, 25

Lattice parameters (Å, degrees): 3.7343 3.7343 7.8650 90.00 90.00 120.00
Space group P3m1 (No. 156)
One atom of each set of equivalent atoms:
Be 0.0000 0.0000 0.0000 (multiplicity 1)
Be 0.3333 0.6667 0.0686 (multiplicity 1)
Bi 0.3333 0.6667 0.7522 (multiplicity 1)
Bi 0.6667 0.3333 0.2490 (multiplicity 1)

---

Computed XRD peak list of BaFeAg2 for λ = 1.5418 Å (Cu Kα), from a structure optimized by DFT (PBE).
Kinematic intensities with the Lorentz-polarization factor, no thermal factor.

Most intense lines, 5 to 70 degrees two-theta, in order of rising 2θ:
two_theta, intensity
24.48, 34
29.59, 68
30.61, 26
35.24, 100
42.05, 27
45.50, 20

Lattice parameters (Å, degrees): 3.7682 3.9867 13.8632 90.00 90.00 90.00
Space group Imm2 (No. 44)
One atom of each set of equivalent atoms:
Ba 0.0000 0.0000 0.0000 (multiplicity 2)
Fe 0.0000 0.5000 0.7142 (multiplicity 2)
Ag 0.0000 0.0000 0.3537 (multiplicity 2)
Ag 0.0000 0.5000 0.2038 (multiplicity 2)

---

Computed XRD peak list of TaMnCoIr for λ = 1.5418 Å (Cu Kα), from a structure optimized by DFT (PBE).
Kinematic intensities with the Lorentz-polarization factor, no thermal factor.

Most intense lines, 5 to 70 degrees two-theta, in order of rising 2θ:
two_theta, intensity
23.59, 28
33.35, 23
41.26, 100
47.41, 17
48.31, 32
69.97, 10

Lattice parameters (Å, degrees): 3.7647 3.7717 3.8351 90.00 90.00 90.00
Space group Pmmm (No. 47)
One atom of each set of equivalent atoms:
Ta 0.0000 0.0000 0.0000 (multiplicity 1)
Mn 0.0000 0.5000 0.5000 (multiplicity 1)
Co 0.5000 0.5000 0.0000 (multiplicity 1)
Ir 0.5000 0.0000 0.5000 (multiplicity 1)